[1]
Theoretical X-ray powder pattern of BaNb4Te8 for Cu Ka, from a GGA-PBE-relaxed structure.
Neutral-atom scattering factors, no anomalous dispersion.

Crystal structure
a = 9.547 Å, b = 9.547 Å, c = 13.237 Å
α = 129.52°, β = 129.52°, γ = 22.84°
Atoms (fractional coordinates):
Ba  0.000  0.000  0.000
Nb  0.162  0.162  0.473
Nb  0.317  0.317  0.136
Nb  0.683  0.683  0.864
Nb  0.838  0.838  0.527
Te  0.037  0.037  0.749
Te  0.314  0.314  0.924
Te  0.350  0.350  0.695
Te  0.378  0.378  0.407
Te  0.622  0.622  0.593
Te  0.650  0.650  0.305
Te  0.686  0.686  0.076
Te  0.963  0.963  0.251

Principal peaks in the range 5 to 70 degrees two-theta, low angle first:
2θ/deg	d [Å]	I/Imax
28.70	3.110	29.0
28.95	3.085	56.5
30.23	2.957	100.0
31.19	2.867	75.2
31.64	2.828	34.7
34.91	2.570	23.2
37.07	2.425	60.9
37.92	2.373	23.4
47.13	1.928	57.7
48.14	1.890	34.2
51.18	1.785	21.5
57.15	1.612	24.8



[2]
Theoretical X-ray powder pattern of BaNb2Tl for Cu Ka, from a GGA-PBE-relaxed structure.
Neutral-atom scattering factors, no anomalous dispersion.

Crystal structure
a = 5.085 Å, b = 5.085 Å, c = 5.085 Å
α = 60.00°, β = 60.00°, γ = 60.00°
Atoms (fractional coordinates):
Ba  0.000  0.000  0.000
Nb  0.250  0.250  0.250
Nb  0.750  0.750  0.750
Tl  0.500  0.500  0.500

Principal peaks in the range 5 to 70 degrees two-theta, low angle first:
2θ/deg	d [Å]	I/Imax
21.40	4.152	3.7
24.76	3.596	8.5
35.30	2.542	100.0
41.66	2.168	2.2
43.60	2.076	2.7
50.79	1.798	17.7
55.72	1.650	1.0
57.30	1.608	3.8
63.36	1.468	36.3
67.70	1.384	0.8



[3]
Theoretical X-ray powder pattern of BaNd3 for Cu Ka, from a GGA-PBE-relaxed structure.
Neutral-atom scattering factors, no anomalous dispersion.

Crystal structure
a = 3.801 Å, b = 6.103 Å, c = 6.828 Å
α = 90.00°, β = 90.00°, γ = 90.00°
Atoms (fractional coordinates):
Ba  0.000  0.000  0.000
Nd  0.000  0.500  0.661
Nd  0.500  0.000  0.497
Nd  0.500  0.500  0.200

Principal peaks in the range 5 to 70 degrees two-theta, low angle first:
2θ/deg	d [Å]	I/Imax
26.84	3.321	29.0
29.27	3.051	40.1
29.99	2.979	60.4
30.65	2.917	100.0
40.13	2.247	19.8
46.51	1.953	21.1
47.86	1.901	10.3
52.35	1.748	12.7
52.77	1.735	21.7
55.91	1.645	30.3
57.09	1.613	12.2
57.52	1.602	19.1



[4]
Theoretical X-ray powder pattern of Ba2NdNi9 for Cu Ka, from a GGA-PBE-relaxed structure.
Neutral-atom scattering factors, no anomalous dispersion.

Crystal structure
a = 9.121 Å, b = 9.121 Å, c = 9.121 Å
α = 32.70°, β = 32.70°, γ = 32.70°
Atoms (fractional coordinates):
Ba  0.139  0.139  0.139
Ba  0.861  0.861  0.861
Nd  0.000  0.000  0.000
Ni  0.079  0.572  0.572
Ni  0.332  0.332  0.332
Ni  0.428  0.428  0.921
Ni  0.428  0.921  0.428
Ni  0.500  0.500  0.500
Ni  0.572  0.079  0.572
Ni  0.572  0.572  0.079
Ni  0.668  0.668  0.668
Ni  0.921  0.428  0.428

Principal peaks in the range 5 to 70 degrees two-theta, low angle first:
2θ/deg	d [Å]	I/Imax
31.47	2.843	48.9
34.28	2.616	45.7
34.94	2.568	49.4
40.72	2.216	40.8
40.90	2.206	100.0
41.19	2.192	15.1
44.33	2.043	13.8
60.50	1.530	14.7
62.24	1.492	16.7
62.65	1.483	18.3
65.68	1.422	18.9
66.71	1.402	22.2